Record 1
This entry pairs a crystal structure of NaPd5Pb2 with its simulated powder XRD pattern. Radiation: Cu Kα, 1.54184 Å. Structure: a DFT-relaxed cell (PBE, Alexandria).

Atomic structure:
```
data_NaPd5Pb2
_cell_length_a 3.896
_cell_length_b 7.641
_cell_length_c 11.037
_cell_angle_alpha 90.00
_cell_angle_beta 90.00
_cell_angle_gamma 90.00
_space_group_name_H-M_alt 'I m m m'
_space_group_IT_number 71
_space_group_name_Hall '-I 2 2'
loop_
_atom_site_label
_atom_site_type_symbol
_atom_site_fract_x
_atom_site_fract_y
_atom_site_fract_z
Na1 Na 0.000 0.000 0.000
Pd1 Pd 0.000 0.192 0.372
Pd2 Pd 0.000 0.500 0.000
Pb1 Pb 0.000 0.500 0.254
```

Main lines, by angle (2θ from 5° to 70°):
2theta	intensity
14.1	60
16.1	51
25.7	49
30.4	58
33.5	52
33.9	52
40.3	99
41.8	100
42.4	89
63.3	52

=====

Record 2
This entry pairs a crystal structure of NaPd6Pb4 with its simulated powder XRD pattern. Radiation: Cu Kα, 1.54184 Å. Structure: a DFT-relaxed cell (PBE, Alexandria).

Atomic structure:
```
data_NaPd6Pb4
_cell_length_a 6.891
_cell_length_b 6.891
_cell_length_c 10.423
_cell_angle_alpha 90.00
_cell_angle_beta 90.00
_cell_angle_gamma 90.00
_space_group_name_H-M_alt 'I -4 2 m'
_space_group_IT_number 121
_space_group_name_Hall 'I -4 2'
loop_
_atom_site_label
_atom_site_type_symbol
_atom_site_fract_x
_atom_site_fract_y
_atom_site_fract_z
Na1 Na 0.000 0.000 0.000
Pd1 Pd 0.000 0.500 0.000
Pd2 Pd 0.158 0.158 0.406
Pb1 Pb 0.224 0.224 0.673
```

Main lines, by angle (2θ from 5° to 70°):
2theta	intensity
15.4	56
25.0	51
25.9	72
31.1	70
36.9	64
39.2	100
40.2	29
43.5	30
45.1	64
54.9	30

=====

Record 3
This entry pairs a crystal structure of Na3Pd2Pb5 with its simulated powder XRD pattern. Radiation: Cu Kα, 1.54184 Å. Structure: a DFT-relaxed cell (PBE, Alexandria).

Atomic structure:
```
data_Na3Pd2Pb5
_cell_length_a 11.366
_cell_length_b 11.366
_cell_length_c 4.121
_cell_angle_alpha 90.00
_cell_angle_beta 90.00
_cell_angle_gamma 90.00
_space_group_name_H-M_alt 'P 4/m b m'
_space_group_IT_number 127
_space_group_name_Hall '-P 4 2ab'
loop_
_atom_site_label
_atom_site_type_symbol
_atom_site_fract_x
_atom_site_fract_y
_atom_site_fract_z
Na1 Na 0.000 0.000 0.000
Na2 Na 0.171 0.329 0.000
Pd1 Pd 0.128 0.628 0.000
Pb1 Pb 0.000 0.500 0.500
Pb2 Pb 0.073 0.791 0.500
```

Main lines, by angle (2θ from 5° to 70°):
2theta	intensity
17.4	77
21.6	51
32.5	46
33.1	100
35.3	25
35.9	74
39.3	45
43.9	27
57.3	27
62.0	25

=====

Record 4
This entry pairs a crystal structure of NaPd4Pb4 with its simulated powder XRD pattern. Radiation: Cu Kα, 1.54184 Å. Structure: a DFT-relaxed cell (PBE, Alexandria).

Atomic structure:
```
data_NaPd4Pb4
_cell_length_a 9.214
_cell_length_b 9.214
_cell_length_c 5.571
_cell_angle_alpha 90.00
_cell_angle_beta 90.00
_cell_angle_gamma 90.00
_space_group_name_H-M_alt 'P 42/n'
_space_group_IT_number 86
loop_
_space_group_symop_operation_xyz
'x,y,z'
'-x,-y,-z'
'-y,x+1/2,z+1/2'
'y,-x+1/2,-z+1/2'
'-x+1/2,-y+1/2,z'
'x+1/2,y+1/2,-z'
'y+1/2,-x,z+1/2'
'-y+1/2,x,-z+1/2'
loop_
_atom_site_label
_atom_site_type_symbol
_atom_site_fract_x
_atom_site_fract_y
_atom_site_fract_z
Na1 Na 0.250 0.250 0.250
Pd1 Pd 0.063 0.598 0.661
Pb1 Pb 0.102 0.632 0.160
```

Main lines, by angle (2θ from 5° to 70°):
2theta	intensity
13.6	100
26.9	25
30.7	82
33.6	59
38.8	29
39.1	40
41.6	25
43.9	68
52.5	23
60.2	30

=====

Record 5
This entry pairs a crystal structure of Na3PdPb4 with its simulated powder XRD pattern. Radiation: Cu Kα, 1.54184 Å. Structure: a DFT-relaxed cell (PBE, Alexandria).

Atomic structure:
```
data_Na3PdPb4
_cell_length_a 5.113
_cell_length_b 7.458
_cell_length_c 12.025
_cell_angle_alpha 90.00
_cell_angle_beta 90.00
_cell_angle_gamma 90.00
_space_group_name_H-M_alt 'I m m m'
_space_group_IT_number 71
_space_group_name_Hall '-I 2 2'
loop_
_atom_site_label
_atom_site_type_symbol
_atom_site_fract_x
_atom_site_fract_y
_atom_site_fract_z
Na1 Na 0.000 0.000 0.000
Na2 Na 0.000 0.500 0.124
Pd1 Pd 0.000 0.000 0.500
Pb1 Pb 0.000 0.279 0.345
```

Main lines, by angle (2θ from 5° to 70°):
2theta	intensity
18.9	94
23.9	35
28.2	24
28.3	63
30.6	33
35.1	40
37.3	100
38.5	26
42.9	22
53.0	21

=====

Record 6
This entry pairs a crystal structure of NaPmZnPb with its simulated powder XRD pattern. Radiation: Cu Kα, 1.54184 Å. Structure: a DFT-relaxed cell (PBE, Alexandria).

Atomic structure:
```
data_NaPmZnPb
_cell_length_a 7.488
_cell_length_b 7.488
_cell_length_c 7.488
_cell_angle_alpha 90.00
_cell_angle_beta 90.00
_cell_angle_gamma 90.00
_space_group_name_H-M_alt 'F -4 3 m'
_space_group_IT_number 216
_space_group_name_Hall 'F -4 2 3'
loop_
_atom_site_label
_atom_site_type_symbol
_atom_site_fract_x
_atom_site_fract_y
_atom_site_fract_z
Na1 Na 0.000 0.000 0.000
Pm1 Pm 0.000 0.000 0.500
Zn1 Zn 0.250 0.250 0.750
Pb1 Pb 0.250 0.250 0.250
```

Main lines, by angle (2θ from 5° to 70°):
2theta	intensity
20.5	37
23.8	6
33.9	100
39.9	21
41.8	2
48.6	18
53.3	9
54.8	3
60.6	37
64.7	7

=====

Record 7
This entry pairs a crystal structure of NaPrPb3 with its simulated powder XRD pattern. Radiation: Cu Kα, 1.54184 Å. Structure: a DFT-relaxed cell (PBE, Alexandria).

Atomic structure:
```
data_NaPrPb3
_cell_length_a 7.4115
_cell_length_b 7.4115
_cell_length_c 6.5169
_cell_angle_alpha 90.00
_cell_angle_beta 90.00
_cell_angle_gamma 120.00
_space_group_name_H-M_alt 'P 63/m m c'
_space_group_IT_number 194
_space_group_name_Hall '-P 6c 2c'
loop_
_atom_site_label
_atom_site_type_symbol
_atom_site_fract_x
_atom_site_fract_y
_atom_site_fract_z
Na1 Na 0.0000 0.0000 0.0000
Pr1 Pr 0.3333 0.6667 0.2500
Pb1 Pb 0.1964 0.3928 0.7500
```

Main lines, by angle (2θ from 5° to 70°):
2theta	intensity
19.4	16
27.4	37
27.8	20
31.1	100
37.1	14
39.4	22
44.6	18
49.2	13
50.8	26
57.2	14

=====

Record 8
This entry pairs a crystal structure of NaPrPb3 with its simulated powder XRD pattern. Radiation: Cu Kα, 1.54184 Å. Structure: a DFT-relaxed cell (PBE, Alexandria).

Atomic structure:
```
data_NaPrPb3
_cell_length_a 6.592
_cell_length_b 14.330
_cell_length_c 6.520
_cell_angle_alpha 90.00
_cell_angle_beta 90.13
_cell_angle_gamma 90.00
_space_group_name_H-M_alt 'P 1 2/c 1'
_space_group_IT_number 13
loop_
_space_group_symop_operation_xyz
'x,y,z'
'-x,-y,-z'
'-x,y,-z+1/2'
'x,-y,z+1/2'
loop_
_atom_site_label
_atom_site_type_symbol
_atom_site_fract_x
_atom_site_fract_y
_atom_site_fract_z
Na1 Na 0.000 0.101 0.250
Na2 Na 0.500 0.101 0.250
Pr1 Pr 0.250 0.316 0.503
Pb1 Pb 0.000 0.496 0.750
Pb2 Pb 0.250 0.103 0.716
Pb3 Pb 0.250 0.286 0.012
Pb4 Pb 0.500 0.496 0.750
```

Main lines, by angle (2θ from 5° to 70°):
2theta	intensity
6.2	87
18.4	29
29.8	67
30.1	100
31.2	88
32.9	29
33.0	43
33.3	78
39.4	64
46.7	44

=====

Record 9
This entry pairs a crystal structure of Na3PrPb6 with its simulated powder XRD pattern. Radiation: Cu Kα, 1.54184 Å. Structure: a DFT-relaxed cell (PBE, Alexandria).

Atomic structure:
```
data_Na3PrPb6
_cell_length_a 10.973
_cell_length_b 4.844
_cell_length_c 11.273
_cell_angle_alpha 90.00
_cell_angle_beta 93.70
_cell_angle_gamma 90.00
_space_group_name_H-M_alt 'P 1 21/m 1'
_space_group_IT_number 11
loop_
_space_group_symop_operation_xyz
'x,y,z'
'-x,-y,-z'
'-x,y+1/2,-z'
'x,-y+1/2,z'
loop_
_atom_site_label
_atom_site_type_symbol
_atom_site_fract_x
_atom_site_fract_y
_atom_site_fract_z
Na1 Na 0.052 0.250 0.405
Na2 Na 0.153 0.750 0.199
Na3 Na 0.248 0.250 0.007
Pr1 Pr 0.441 0.250 0.620
Pb1 Pb 0.054 0.750 0.893
Pb2 Pb 0.139 0.250 0.711
Pb3 Pb 0.254 0.750 0.487
Pb4 Pb 0.335 0.750 0.808
Pb5 Pb 0.343 0.250 0.315
Pb6 Pb 0.455 0.750 0.088
```

Main lines, by angle (2θ from 5° to 70°):
2theta	intensity
18.5	32
25.3	30
31.3	100
31.7	99
34.9	34
37.1	34
37.5	33
51.9	22
53.8	23
63.5	27

=====

Record 10
This entry pairs a crystal structure of Na2Pt2Pb with its simulated powder XRD pattern. Radiation: Cu Kα, 1.54184 Å. Structure: a DFT-relaxed cell (PBE, Alexandria).

Atomic structure:
```
data_Na2Pt2Pb
_cell_length_a 10.049
_cell_length_b 5.777
_cell_length_c 8.271
_cell_angle_alpha 90.00
_cell_angle_beta 104.75
_cell_angle_gamma 90.00
_space_group_name_H-M_alt 'C 1 2/c 1'
_space_group_IT_number 15
loop_
_space_group_symop_operation_xyz
'x,y,z'
'-x,-y,-z'
'-x,y,-z+1/2'
'x,-y,z+1/2'
'x+1/2,y+1/2,z'
'-x+1/2,-y+1/2,-z'
'-x+1/2,y+1/2,-z+1/2'
'x+1/2,-y+1/2,z+1/2'
loop_
_atom_site_label
_atom_site_type_symbol
_atom_site_fract_x
_atom_site_fract_y
_atom_site_fract_z
Na1 Na 0.148 0.138 0.148
Pt1 Pt 0.140 0.355 0.508
Pb1 Pb 0.000 0.371 0.750
```

Main lines, by angle (2θ from 5° to 70°):
2theta	intensity
17.9	88
22.3	100
32.4	18
33.0	19
34.6	30
36.0	20
36.1	32
38.1	32
39.4	57
46.7	44

=====

Record 11
This entry pairs a crystal structure of Na2PtPb2 with its simulated powder XRD pattern. Radiation: Cu Kα, 1.54184 Å. Structure: a DFT-relaxed cell (PBE, Alexandria).

Atomic structure:
```
data_Na2PtPb2
_cell_length_a 6.888
_cell_length_b 9.657
_cell_length_c 8.706
_cell_angle_alpha 90.00
_cell_angle_beta 110.91
_cell_angle_gamma 90.00
_space_group_name_H-M_alt 'C 1 2/m 1'
_space_group_IT_number 12
loop_
_space_group_symop_operation_xyz
'x,y,z'
'-x,-y,-z'
'-x,y,-z'
'x,-y,z'
'x+1/2,y+1/2,z'
'-x+1/2,-y+1/2,-z'
'-x+1/2,y+1/2,-z'
'x+1/2,-y+1/2,z'
loop_
_atom_site_label
_atom_site_type_symbol
_atom_site_fract_x
_atom_site_fract_y
_atom_site_fract_z
Na1 Na 0.208 0.000 0.423
Na2 Na 0.239 0.000 0.018
Pt1 Pt 0.000 0.253 0.500
Pb1 Pb 0.133 0.305 0.235
```

Main lines, by angle (2θ from 5° to 70°):
2theta	intensity
10.9	35
18.4	100
21.4	19
31.3	25
33.4	52
34.2	23
34.8	34
38.4	38
39.7	33
48.6	19

=====

Record 12
This entry pairs a crystal structure of NaPtPb3 with its simulated powder XRD pattern. Radiation: Cu Kα, 1.54184 Å. Structure: a DFT-relaxed cell (PBE, Alexandria).

Atomic structure:
```
data_NaPtPb3
_cell_length_a 6.493
_cell_length_b 9.667
_cell_length_c 8.548
_cell_angle_alpha 90.00
_cell_angle_beta 90.00
_cell_angle_gamma 90.00
_space_group_name_H-M_alt 'P n m a'
_space_group_IT_number 62
loop_
_space_group_symop_operation_xyz
'x,y,z'
'-x,-y,-z'
'-x+1/2,-y,z+1/2'
'x+1/2,y,-z+1/2'
'x+1/2,-y+1/2,-z+1/2'
'-x+1/2,y+1/2,z+1/2'
'-x,y+1/2,-z'
'x,-y+1/2,z'
loop_
_atom_site_label
_atom_site_type_symbol
_atom_site_fract_x
_atom_site_fract_y
_atom_site_fract_z
Na1 Na 0.247 0.250 0.126
Pt1 Pt 0.000 0.000 0.000
Pb1 Pb 0.125 0.558 0.320
Pb2 Pb 0.244 0.750 0.009
```

Main lines, by angle (2θ from 5° to 70°):
2theta	intensity
18.4	71
19.5	70
29.4	90
29.6	72
32.7	88
33.2	84
34.4	100
35.6	82
39.2	95
39.5	94